Starting from DFT lattice parameters and positions (PBE+U), the XRD peak list of KPrDyFeO6 was simulated for Cu Kα, 1.54184 Å.
Neutral-atom scattering factors, no anomalous dispersion.

Top 10 peaks for 15° ≤ 2θ ≤ 90°, sorted by position:
(1 1 1), 2θ = 18.98°, d 4.675, rel. 28; (2 2 0), 2θ = 31.25°, d 2.863, rel. 100; (3 1 1), 2θ = 36.82°, d 2.441, rel. 20; (4 0 0), 2θ = 44.77°, d 2.024, rel. 32; (3 3 1), 2θ = 49.04°, d 1.858, rel. 10; (4 2 2), 2θ = 55.61°, d 1.653, rel. 38; (3 3 3), 2θ = 59.31°, d 1.558, rel. 6; (4 4 0), 2θ = 65.18°, d 1.431, rel. 19; (5 3 1), 2θ = 68.57°, d 1.369, rel. 6; (6 2 0), 2θ = 74.05°, d 1.280, rel. 17

Structure:
Unit cell a=8.097 b=8.097 c=8.097 alpha=90.00 beta=90.00 gamma=90.00
Space group F-43m (No. 216)
Asymmetric unit:
1 K 0.000 0.000 0.000
2 Pr 0.000 0.000 0.500
3 Dy 0.250 0.250 0.250
4 Fe 0.250 0.250 0.750
5 O 0.019 0.250 0.750